(1)
Computed PXRD pattern
Compound: Cu3SbS4
Radiation: Cu Ka
Structure: a cell relaxed with GGA-PBE
Neutral-atom scattering factors, no anomalous dispersion.

Cell and atoms:
```
data_Cu3SbS4
_chemical_formula_sum 'Cu24 Sb8 S32'
_cell_length_a 12.273
_cell_length_b 12.273
_cell_length_c 12.273
_cell_angle_alpha 90.00
_cell_angle_beta 90.00
_cell_angle_gamma 90.00
_space_group_name_H-M_alt 'F m -3 m'
_space_group_IT_number 225
_space_group_name_Hall '-F 4 2 3'
loop_
_atom_site_label
_atom_site_type_symbol
_atom_site_fract_x
_atom_site_fract_y
_atom_site_fract_z
_atom_site_occupancy
Cu1 Cu 0.000 0.250 0.250 1
Sb1 Sb 0.250 0.250 0.250 1
S1 S 0.139 0.139 0.139 1
```

The 10 most intense peaks (5° ≤ 2θ ≤ 70°), by angle:
hkl  Position (°2θ)  d/Å  I_rel
2 0 0  14.43  6.137  100
3 1 1  24.05  3.700  6
4 0 0  29.10  3.068  16
4 2 0  32.63  2.744  33
4 4 0  41.63  2.170  58
4 4 2  44.28  2.046  24
6 4 0  53.87  1.702  17
8 0 0  60.33  1.534  8
8 2 0  62.39  1.488  10
8 4 0  68.36  1.372  7

---

(2)
Computed PXRD pattern
Compound: Cu2SbS4
Radiation: Cu Ka
Structure: a cell relaxed with GGA-PBE
Neutral-atom scattering factors, no anomalous dispersion.

Cell and atoms:
```
data_Cu2SbS4
_chemical_formula_sum 'Cu8 Sb4 S16'
_cell_length_a 6.797
_cell_length_b 6.797
_cell_length_c 11.619
_cell_angle_alpha 90.00
_cell_angle_beta 90.00
_cell_angle_gamma 90.00
_space_group_name_H-M_alt 'I 41/a'
_space_group_IT_number 88
loop_
_space_group_symop_operation_xyz
'x,y,z'
'-x,-y,-z'
'-y+3/4,x+1/4,z+1/4'
'y+3/4,-x+1/4,-z+1/4'
'-x+1/2,-y,z+1/2'
'x+1/2,y,-z+1/2'
'y+3/4,-x+3/4,z+3/4'
'-y+3/4,x+3/4,-z+3/4'
'x+1/2,y+1/2,z+1/2'
'-x+1/2,-y+1/2,-z+1/2'
'-y+1/4,x+3/4,z+3/4'
'y+1/4,-x+3/4,-z+3/4'
'-x,-y+1/2,z'
'x,y+1/2,-z'
'y+1/4,-x+1/4,z+1/4'
'-y+1/4,x+1/4,-z+1/4'
loop_
_atom_site_label
_atom_site_type_symbol
_atom_site_fract_x
_atom_site_fract_y
_atom_site_fract_z
_atom_site_occupancy
Cu1 Cu 0.000 0.000 0.000 1
Sb1 Sb 0.000 0.250 0.625 1
S1 S 0.149 0.462 0.824 1
```

The 10 most intense peaks (5° ≤ 2θ ≤ 70°), by angle:
hkl  Position (°2θ)  d/Å  I_rel
1 1 2  24.03  3.703  26
1 0 3  26.49  3.365  23
1 2 1  30.41  2.940  100
1 0 5  41.05  2.199  21
3 1 2  44.97  2.016  22
3 0 3  46.43  1.956  19
2 3 1  48.95  1.861  14
2 2 4  49.21  1.852  24
4 2 2  63.24  1.470  9
2 1 7  63.90  1.457  8

---

(3)
Computed PXRD pattern
Compound: Cu11Sb4S13
Radiation: Cu Ka
Structure: a cell relaxed with GGA-PBE
Neutral-atom scattering factors, no anomalous dispersion.

Cell and atoms:
```
data_Cu11Sb4S13
_chemical_formula_sum 'Cu22 Sb8 S26'
_cell_length_a 10.541
_cell_length_b 14.276
_cell_length_c 8.833
_cell_angle_alpha 90.00
_cell_angle_beta 123.99
_cell_angle_gamma 90.00
_space_group_name_H-M_alt 'C 1 m 1'
_space_group_IT_number 8
_space_group_name_Hall 'C -2y'
loop_
_atom_site_label
_atom_site_type_symbol
_atom_site_fract_x
_atom_site_fract_y
_atom_site_fract_z
_atom_site_occupancy
Cu1 Cu 0.000 0.000 0.000 1
Cu2 Cu 0.019 0.500 0.869 1
Cu3 Cu 0.118 0.400 0.700 1
Cu4 Cu 0.161 0.126 0.739 1
Cu5 Cu 0.276 0.254 0.460 1
Cu6 Cu 0.405 0.407 0.210 1
Cu7 Cu 0.477 0.000 0.212 1
Sb1 Sb 0.031 0.235 0.000 1
Sb2 Sb 0.308 0.500 0.448 1
Sb3 Sb 0.319 0.000 0.509 1
S1 S 0.026 0.259 0.715 1
S2 S 0.036 0.000 0.766 1
S3 S 0.139 0.128 0.465 1
S4 S 0.140 0.383 0.460 1
S5 S 0.251 0.000 0.201 1
S6 S 0.268 0.500 0.954 1
S7 S 0.301 0.267 0.218 1
S8 S 0.416 0.106 0.966 1
```

The 10 most intense peaks (5° ≤ 2θ ≤ 70°), by angle:
hkl  Position (°2θ)  d/Å  I_rel
0 4 0  24.95  3.569  19
2 0 1  29.06  3.073  66
2 4 -1  30.25  2.954  100
2 0 -3  30.36  2.944  53
0 4 2  35.11  2.556  22
4 4 0  48.87  1.864  41
0 0 4  49.80  1.831  20
4 4 -4  50.55  1.805  28
0 8 0  51.19  1.784  17
2 4 3  58.63  1.575  19